Entry 1:
Theoretical PXRD pattern
Compound: CdNi2Ru
Radiation: Cu Kα, 1.54184 Å
Structure: a structure optimized by DFT (GGA-PBE)
Kinematic intensities with the Lorentz-polarization factor, no thermal factor.

Structural model:
```
CdNi2Ru
1.0
4.155 0.000 0.000
0.000 1.340 4.986
0.000 -1.340 4.986
Cd Ni Ru
1 2 1
Cartesian
0.000 0.000 0.000
0.000 0.000 7.406
2.078 0.000 6.081
2.078 0.000 3.281
```

Peak list (8 most intense, 2θ from 15° to 90°, low angle first)
2θ/deg  I_rel
27.95  23.7
41.09  100.0
42.28  76.5
43.38  49.1
43.56  44.2
48.85  17.4
63.16  30.7
85.55  18.3



Entry 2:
Theoretical PXRD pattern
Compound: Ce3Ho5N8
Radiation: Cu Kα, 1.54184 Å
Structure: a structure optimized by DFT (GGA-PBE)
Kinematic intensities with the Lorentz-polarization factor, no thermal factor.

Structural model:
```
Ce3Ho5N8
1.0
3.493 2.017 5.706
-3.493 2.017 5.706
0.000 -4.034 5.706
Ce Ho N
3 5 8
Cartesian
-1.747 -1.008 5.706
-1.747 1.008 11.411
0.000 2.017 5.706
0.000 0.000 0.000
-3.493 0.000 8.558
-1.747 1.008 2.853
1.747 1.008 2.853
0.000 0.000 8.558
0.000 0.000 4.250
-1.749 -1.010 9.981
0.000 -2.019 7.136
-1.749 1.010 7.136
1.749 -1.010 9.981
0.000 2.019 9.981
1.749 1.010 7.136
0.000 0.000 12.867
```

Peak list (8 most intense, 2θ from 15° to 90°, low angle first)
2θ/deg  I_rel
31.36  100.0
36.37  72.3
52.38  49.7
62.33  44.7
65.44  16.7
77.24  7.7
85.71  19.1
88.51  22.6



Entry 3:
Theoretical PXRD pattern
Compound: Pm3PaCo3
Radiation: Cu Kα, 1.54184 Å
Structure: a structure optimized by DFT (GGA-PBE)
Kinematic intensities with the Lorentz-polarization factor, no thermal factor.

Structural model:
```
Pm3PaCo3
1.0
6.315 -1.886 0.000
6.315 1.886 0.000
-6.267 0.000 13.289
Pm Pa Co
6 2 6
Cartesian
-0.647 0.000 1.745
-1.503 0.000 5.581
-1.440 0.000 9.243
7.804 0.000 4.046
7.867 0.000 7.708
7.012 0.000 11.544
2.841 0.000 1.430
3.523 0.000 11.859
-1.366 0.000 12.788
2.559 0.000 5.698
3.822 0.000 3.416
2.542 0.000 9.873
3.805 0.000 7.590
7.730 0.000 0.501
```

Peak list (8 most intense, 2θ from 15° to 90°, low angle first)
2θ/deg  I_rel
29.05  35.7
30.41  40.1
32.03  98.9
34.25  100.0
34.96  47.8
36.20  38.6
39.87  50.9
48.26  36.8



Entry 4:
Theoretical PXRD pattern
Compound: PaPd5Au
Radiation: Cu Kα, 1.54184 Å
Structure: a structure optimized by DFT (GGA-PBE)
Kinematic intensities with the Lorentz-polarization factor, no thermal factor.

Structural model:
```
PaPd5Au
1.0
3.305 -3.880 0.000
3.305 3.880 0.000
-3.036 0.000 9.587
Pa Pd Au
2 10 2
Cartesian
1.028 2.146 7.190
2.546 -2.146 2.397
-0.457 0.768 5.219
2.546 2.922 2.397
1.061 -0.768 0.425
1.566 0.334 3.395
0.048 -0.334 8.189
3.527 0.334 1.398
2.009 -0.334 6.192
2.513 0.768 9.162
1.028 -2.922 7.190
4.031 -0.768 4.368
1.653 1.940 0.000
0.135 -1.940 4.793
```

Peak list (8 most intense, 2θ from 15° to 90°, low angle first)
2θ/deg  I_rel
29.59  40.0
37.15  53.6
37.56  34.5
37.73  41.3
38.65  70.7
39.86  100.0
43.08  27.4
44.43  30.7



Entry 5:
Theoretical PXRD pattern
Compound: NdHo2Cd3
Radiation: Cu Kα, 1.54184 Å
Structure: a structure optimized by DFT (GGA-PBE)
Kinematic intensities with the Lorentz-polarization factor, no thermal factor.

Structural model:
```
NdHo2Cd3
1.0
3.760 0.000 0.000
0.000 3.760 0.000
0.000 0.000 11.386
Nd Ho Cd
1 2 3
Cartesian
0.000 0.000 0.000
0.000 0.000 3.843
0.000 0.000 7.543
1.880 1.880 2.044
1.880 1.880 5.693
1.880 1.880 9.342
```

Peak list (8 most intense, 2θ from 15° to 90°, low angle first)
2θ/deg  I_rel
33.55  100.0
33.71  50.3
47.94  8.6
48.42  18.0
59.89  17.4
60.20  36.3
70.52  10.6
80.80  15.7



Entry 6:
Theoretical PXRD pattern
Compound: PaGaAg
Radiation: Cu Kα, 1.54184 Å
Structure: a structure optimized by DFT (GGA-PBE)
Kinematic intensities with the Lorentz-polarization factor, no thermal factor.

Structural model:
```
PaGaAg
1.0
3.006 0.000 0.000
0.000 7.777 2.618
0.000 -7.777 2.618
Pa Ga Ag
2 2 2
Cartesian
0.000 -4.930 2.618
0.000 4.930 2.618
1.503 -2.224 2.616
1.503 2.224 2.616
0.000 0.000 3.608
1.503 0.000 0.928
```

Peak list (8 most intense, 2θ from 15° to 90°, low angle first)
2θ/deg  I_rel
24.16  29.3
33.51  28.6
34.25  16.9
34.60  33.8
34.89  21.4
36.20  33.3
38.65  100.0
61.73  21.8



Entry 7:
Theoretical PXRD pattern
Compound: HgTe2O4
Radiation: Cu Kα, 1.54184 Å
Structure: a structure optimized by DFT (GGA-PBE)
Kinematic intensities with the Lorentz-polarization factor, no thermal factor.

Structural model:
```
HgTe2O4
1.0
7.466 0.000 0.000
-1.770 7.523 0.000
-3.205 -3.290 6.252
Hg Te O
2 4 8
Cartesian
0.000 0.000 0.000
-2.030 3.751 4.592
-0.562 -0.005 6.191
1.310 0.176 3.643
2.852 4.883 2.579
4.506 0.568 3.382
-2.484 -0.032 5.091
-0.001 1.271 4.822
1.711 4.794 0.992
1.150 -1.008 5.116
3.152 -0.829 3.044
2.709 1.477 3.996
4.007 3.787 1.415
5.635 -1.013 2.429
```

Peak list (8 most intense, 2θ from 15° to 90°, low angle first)
2θ/deg  I_rel
18.82  44.7
21.57  83.7
23.38  40.3
23.72  100.0
25.21  80.8
27.94  47.1
31.11  37.2
36.82  34.2



Entry 8:
Theoretical PXRD pattern
Compound: Ca2Nd6Y3
Radiation: Cu Kα, 1.54184 Å
Structure: a structure optimized by DFT (GGA-PBE)
Kinematic intensities with the Lorentz-polarization factor, no thermal factor.

Structural model:
```
Ca2Nd6Y3
1.0
1.835 1.060 33.273
-1.835 1.060 33.273
0.000 -2.119 33.273
Ca Nd Y
2 6 3
Cartesian
0.000 0.000 4.673
0.000 0.000 95.147
0.000 0.000 13.714
0.000 0.000 31.830
0.000 0.000 41.167
0.000 0.000 58.653
0.000 0.000 67.990
0.000 0.000 86.106
0.000 0.000 22.510
0.000 0.000 49.910
0.000 0.000 77.310
```

Peak list (8 most intense, 2θ from 15° to 90°, low angle first)
2θ/deg  I_rel
29.53  30.6
29.78  100.0
34.45  64.3
49.35  18.8
49.67  24.3
58.85  24.8
58.99  14.1
61.85  11.5



Entry 9:
Theoretical PXRD pattern
Compound: Ho5Er3Tl
Radiation: Cu Kα, 1.54184 Å
Structure: a structure optimized by DFT (GGA-PBE)
Kinematic intensities with the Lorentz-polarization factor, no thermal factor.

Structural model:
```
Ho5Er3Tl
1.0
5.977 -5.649 0.000
5.977 5.649 0.000
-3.338 0.000 9.482
Ho Er Tl
10 6 2
Cartesian
3.101 2.934 2.007
5.977 3.022 0.000
2.659 0.000 0.553
1.611 0.000 3.870
5.514 2.934 7.475
3.101 -2.934 2.007
7.004 0.000 5.612
5.957 0.000 8.929
5.977 -3.022 0.000
5.514 -2.934 7.475
-1.669 0.000 4.741
-2.719 0.000 7.743
4.829 0.000 3.118
5.977 0.000 0.000
3.787 0.000 6.364
11.335 0.000 1.739
0.775 0.000 6.942
7.840 0.000 2.540
```

Peak list (8 most intense, 2θ from 15° to 90°, low angle first)
2θ/deg  I_rel
15.69  37.2
31.35  41.7
31.70  100.0
32.84  41.2
35.59  26.8
38.78  29.2
40.03  23.8
45.46  20.8



Entry 10:
Theoretical PXRD pattern
Compound: ZrRe3
Radiation: Cu Kα, 1.54184 Å
Structure: a structure optimized by DFT (GGA-PBE)
Kinematic intensities with the Lorentz-polarization factor, no thermal factor.

Structural model:
```
ZrRe3
1.0
5.276 0.000 0.000
0.000 9.342 0.000
0.000 0.000 5.423
Zr Re
4 12
Cartesian
0.042 2.336 0.763
2.596 7.007 3.475
2.680 2.336 1.948
5.234 7.007 4.660
0.271 2.336 3.497
1.147 4.870 2.102
1.147 9.144 2.102
1.491 0.199 4.814
1.491 4.472 4.814
2.367 7.007 0.786
2.909 2.336 4.638
3.785 4.870 0.610
3.785 9.144 0.610
4.129 0.199 3.321
4.129 4.472 3.321
5.005 7.007 1.926
```

Peak list (8 most intense, 2θ from 15° to 90°, low angle first)
2θ/deg  I_rel
18.94  24.6
37.28  29.5
38.55  100.0
39.22  94.6
42.17  79.2
62.96  29.4
76.36  19.3
82.64  25.8



Entry 11:
Theoretical PXRD pattern
Compound: CaYHo2
Radiation: Cu Kα, 1.54184 Å
Structure: a structure optimized by DFT (GGA-PBE)
Kinematic intensities with the Lorentz-polarization factor, no thermal factor.

Structural model:
```
CaYHo2
1.0
1.794 1.036 12.039
-1.794 1.036 12.039
0.000 -2.072 12.039
Ca Y Ho
1 1 2
Cartesian
0.000 0.000 0.000
0.000 0.000 18.059
0.000 0.000 8.858
0.000 0.000 27.260
```

Peak list (8 most intense, 2θ from 15° to 90°, low angle first)
2θ/deg  I_rel
29.16  19.3
29.68  32.7
30.42  100.0
35.05  66.3
49.93  21.2
50.89  23.7
60.03  26.1
60.45  13.9



Entry 12:
Theoretical PXRD pattern
Compound: Rb4Ho3US8
Radiation: Cu Kα, 1.54184 Å
Structure: a structure optimized by DFT (GGA-PBE)
Kinematic intensities with the Lorentz-polarization factor, no thermal factor.

Structural model:
```
Rb4Ho3US8
1.0
4.075 2.353 7.691
-4.075 2.353 7.691
0.000 -4.705 7.691
Rb Ho U S
4 3 1 8
Cartesian
0.000 0.000 0.000
-2.038 -1.176 7.691
-2.038 1.176 15.381
0.000 2.353 7.691
-4.075 0.000 11.536
-2.038 1.176 3.845
2.038 1.176 3.845
0.000 0.000 11.536
-2.050 -1.184 13.012
0.000 0.000 5.315
0.000 -2.368 10.060
-2.050 1.184 10.060
2.050 -1.184 13.012
0.000 2.368 13.012
0.000 0.000 17.756
2.050 1.184 10.060
```

Peak list (8 most intense, 2θ from 15° to 90°, low angle first)
2θ/deg  I_rel
23.13  26.5
26.41  49.8
29.68  100.0
40.39  37.3
44.46  33.7
47.06  15.9
50.69  25.7
54.37  17.6